No. 1
For CaPm2Y3Se6, a cell relaxed with GGA-PBE gives the simulated powder XRD pattern in this record (Cu Kα X-rays).
Neutral-atom scattering factors, no anomalous dispersion.

Top 8 peaks for 2θ from 10° to 80°, sorted by position:
30.5 deg, 2.929 Å, I 100.0, (1 1 -2); 43.5 deg, 2.083 Å, I 12.3, (2 0 -4); 43.7 deg, 2.071 Å, I 48.2, (5 1 2); 44.0 deg, 2.060 Å, I 12.1, (0 2 0); 54.5 deg, 1.685 Å, I 12.5, (6 2 0); 63.5 deg, 1.464 Å, I 11.5, (2 2 -4); 72.0 deg, 1.311 Å, I 10.4, (8 2 -4); 72.2 deg, 1.309 Å, I 10.4, (4 2 4)

Structure:
Cell lengths 18.070, 4.120, 8.331 Å; angles 90.00, 103.49, 90.00 degrees
Space group C2/m (No. 12)
Unique sites:
Ca (0.000, 0.000, 0.000) (multiplicity 2)
Pm (0.171, 0.500, 0.342) (multiplicity 4)
Y (0.000, 0.000, 0.500) (multiplicity 2)
Y (0.169, 0.500, 0.829) (multiplicity 4)
Se (0.001, 0.500, 0.749) (multiplicity 4)
Se (0.162, 0.000, 0.589) (multiplicity 4)
Se (0.166, 0.000, 0.076) (multiplicity 4)


No. 2
For Hf3N2O3, a cell relaxed with GGA-PBE gives the simulated powder XRD pattern in this record (Cu Kα X-rays).
Neutral-atom scattering factors, no anomalous dispersion.

Top 8 peaks for 2θ from 10° to 80°, sorted by position:
16.7 deg, 5.306 Å, I 57.6, (2 0 0); 23.8 deg, 3.745 Å, I 100.0, (1 1 0); 30.2 deg, 2.963 Å, I 51.9, (2 0 -3); 30.5 deg, 2.935 Å, I 47.4, (2 0 3); 33.8 deg, 2.650 Å, I 89.1, (3 1 0); 34.8 deg, 2.580 Å, I 52.4, (1 1 -3); 34.9 deg, 2.571 Å, I 50.1, (1 1 3); 55.6 deg, 1.653 Å, I 36.9, (2 2 3)

Structure:
Cell lengths 10.605, 4.003, 10.645 Å; angles 90.00, 90.59, 90.00 degrees
Space group Cm (No. 8)
Unique sites:
Hf (0.000, 0.000, 0.000) (multiplicity 2)
Hf (0.006, 0.000, 0.385) (multiplicity 2)
Hf (0.280, 0.000, 0.500) (multiplicity 2)
Hf (0.288, 0.000, 0.886) (multiplicity 2)
Hf (0.327, 0.000, 0.194) (multiplicity 2)
Hf (0.451, 0.500, 0.694) (multiplicity 2)
N (0.190, 0.000, 0.330) (multiplicity 2)
N (0.344, 0.500, 0.865) (multiplicity 2)
N (0.348, 0.500, 0.520) (multiplicity 2)
N (0.443, 0.000, 0.024) (multiplicity 2)
O (0.099, 0.000, 0.830) (multiplicity 2)
O (0.101, 0.000, 0.565) (multiplicity 2)
O (0.188, 0.000, 0.057) (multiplicity 2)
O (0.392, 0.000, 0.697) (multiplicity 2)
O (0.397, 0.500, 0.203) (multiplicity 2)
O (0.454, 0.000, 0.364) (multiplicity 2)


Copy entry 1 word for word.
For CaPm2Y3Se6, a cell relaxed with GGA-PBE gives the simulated powder XRD pattern in this record (Cu Kα X-rays).
Neutral-atom scattering factors, no anomalous dispersion.

Top 8 peaks for 2θ from 10° to 80°, sorted by position:
30.5 deg, 2.929 Å, I 100.0, (1 1 -2); 43.5 deg, 2.083 Å, I 12.3, (2 0 -4); 43.7 deg, 2.071 Å, I 48.2, (5 1 2); 44.0 deg, 2.060 Å, I 12.1, (0 2 0); 54.5 deg, 1.685 Å, I 12.5, (6 2 0); 63.5 deg, 1.464 Å, I 11.5, (2 2 -4); 72.0 deg, 1.311 Å, I 10.4, (8 2 -4); 72.2 deg, 1.309 Å, I 10.4, (4 2 4)

Structure:
Cell lengths 18.070, 4.120, 8.331 Å; angles 90.00, 103.49, 90.00 degrees
Space group C2/m (No. 12)
Unique sites:
Ca (0.000, 0.000, 0.000) (multiplicity 2)
Pm (0.171, 0.500, 0.342) (multiplicity 4)
Y (0.000, 0.000, 0.500) (multiplicity 2)
Y (0.169, 0.500, 0.829) (multiplicity 4)
Se (0.001, 0.500, 0.749) (multiplicity 4)
Se (0.162, 0.000, 0.589) (multiplicity 4)
Se (0.166, 0.000, 0.076) (multiplicity 4)


What did the second record say?
For Hf3N2O3, a cell relaxed with GGA-PBE gives the simulated powder XRD pattern in this record (Cu Kα X-rays).
Neutral-atom scattering factors, no anomalous dispersion.

Top 8 peaks for 2θ from 10° to 80°, sorted by position:
16.7 deg, 5.306 Å, I 57.6, (2 0 0); 23.8 deg, 3.745 Å, I 100.0, (1 1 0); 30.2 deg, 2.963 Å, I 51.9, (2 0 -3); 30.5 deg, 2.935 Å, I 47.4, (2 0 3); 33.8 deg, 2.650 Å, I 89.1, (3 1 0); 34.8 deg, 2.580 Å, I 52.4, (1 1 -3); 34.9 deg, 2.571 Å, I 50.1, (1 1 3); 55.6 deg, 1.653 Å, I 36.9, (2 2 3)

Structure:
Cell lengths 10.605, 4.003, 10.645 Å; angles 90.00, 90.59, 90.00 degrees
Space group Cm (No. 8)
Unique sites:
Hf (0.000, 0.000, 0.000) (multiplicity 2)
Hf (0.006, 0.000, 0.385) (multiplicity 2)
Hf (0.280, 0.000, 0.500) (multiplicity 2)
Hf (0.288, 0.000, 0.886) (multiplicity 2)
Hf (0.327, 0.000, 0.194) (multiplicity 2)
Hf (0.451, 0.500, 0.694) (multiplicity 2)
N (0.190, 0.000, 0.330) (multiplicity 2)
N (0.344, 0.500, 0.865) (multiplicity 2)
N (0.348, 0.500, 0.520) (multiplicity 2)
N (0.443, 0.000, 0.024) (multiplicity 2)
O (0.099, 0.000, 0.830) (multiplicity 2)
O (0.101, 0.000, 0.565) (multiplicity 2)
O (0.188, 0.000, 0.057) (multiplicity 2)
O (0.392, 0.000, 0.697) (multiplicity 2)
O (0.397, 0.500, 0.203) (multiplicity 2)
O (0.454, 0.000, 0.364) (multiplicity 2)